# 1
Starting from a cell relaxed with PBE, the X-ray powder pattern of Dy3TaO7 was simulated for a wavelength of 1.5418 Å.

```
data_Dy3TaO7
_symmetry_space_group_name_H-M 'P 1'
_symmetry_Int_Tables_number 1
_cell_length_a 8.1487
_cell_length_b 5.3568
_cell_length_c 7.5942
_cell_angle_alpha 90.00
_cell_angle_beta 117.71
_cell_angle_gamma 90.00
loop_
_symmetry_equiv_pos_as_xyz
'x,y,z'
loop_
_atom_site_label
_atom_site_fract_x
_atom_site_fract_y
_atom_site_fract_z
Dy1 0.0000 0.0041 0.0000
Dy2 0.0000 0.9959 0.5000
Dy3 0.2615 0.4750 0.3838
Dy4 0.2615 0.5250 0.8838
Dy5 0.7399 0.4771 0.1228
Dy6 0.7399 0.5229 0.6228
Ta1 0.5002 0.0041 0.7810
Ta2 0.5002 0.9959 0.2810
O1 0.9997 0.2448 0.2502
O2 0.9997 0.7552 0.7502
O3 0.2550 0.2366 0.6627
O4 0.2550 0.7634 0.1627
O5 0.2690 0.2295 0.1071
O6 0.2690 0.7705 0.6071
O7 0.4761 0.2121 0.4857
O8 0.4761 0.7879 0.9857
O9 0.5223 0.2222 0.0042
O10 0.5223 0.7778 0.5042
O11 0.7355 0.2304 0.8385
O12 0.7355 0.7696 0.3385
O13 0.7381 0.2342 0.4033
O14 0.7381 0.7658 0.9033
```

Main lines, low angle first (10 to 90 degrees two-theta):
2theta	d (Å)	I (rel.)
28.8	3.098	100
29.9	2.992	93
33.5	2.678	23
34.3	2.615	44
47.9	1.899	17
48.7	1.871	60
57.5	1.603	27
59.3	1.559	26

# 2
Starting from a cell relaxed with PBE, the X-ray powder pattern of SrTcN3 was simulated for a wavelength of 1.5418 Å.

```
data_SrTcN3
_symmetry_space_group_name_H-M 'P 1'
_symmetry_Int_Tables_number 1
_cell_length_a 6.5510
_cell_length_b 6.5510
_cell_length_c 6.7089
_cell_angle_alpha 104.36
_cell_angle_beta 104.36
_cell_angle_gamma 33.47
loop_
_symmetry_equiv_pos_as_xyz
'x,y,z'
loop_
_atom_site_label
_atom_site_fract_x
_atom_site_fract_y
_atom_site_fract_z
Sr1 0.1161 0.1161 0.3299
Sr2 0.8839 0.8839 0.6701
Tc1 0.3427 0.3427 0.1406
Tc2 0.6573 0.6573 0.8594
N1 0.1819 0.1819 0.9878
N2 0.3437 0.3437 0.4042
N3 0.4932 0.4932 0.0914
N4 0.5068 0.5068 0.9086
N5 0.6563 0.6563 0.5958
N6 0.8181 0.8181 0.0122
```

Main lines, low angle first (10 to 90 degrees two-theta):
2theta	d (Å)	I (rel.)
27.7	3.226	41
29.3	3.050	100
29.5	3.030	32
33.0	2.716	35
34.6	2.592	21
47.4	1.919	19
48.2	1.886	21
49.7	1.834	13